Starting from DFT lattice parameters and positions (GGA-PBE), the powder XRD pattern of Fe3Ir was simulated for Cu Kα.
Neutral-atom scattering factors, no anomalous dispersion.

Cell and atoms:
a = 5.1649 Å, b = 12.5623 Å, c = 4.4617 Å
α = 90.00°, β = 90.00°, γ = 90.00°
Fractional coordinates of all 24 atoms:
Fe: 0.9998 0.0836 0.1679
Fe: 0.9998 0.4164 0.1679
Fe: 0.0002 0.5836 0.8321
Fe: 0.0002 0.9164 0.8321
Fe: 0.0024 0.2500 0.4969
Fe: 0.2500 0.2500 0.0051
Fe: 0.2500 0.5845 0.3364
Fe: 0.2500 0.9155 0.3364
Fe: 0.4976 0.2500 0.4969
Fe: 0.5002 0.0836 0.1679
Fe: 0.5002 0.4164 0.1679
Fe: 0.4998 0.5836 0.8321
Fe: 0.4998 0.9164 0.8321
Fe: 0.5024 0.7500 0.5031
Fe: 0.7500 0.0845 0.6636
Fe: 0.7500 0.4155 0.6636
Fe: 0.7500 0.7500 0.9949
Fe: 0.9976 0.7500 0.5031
Ir: 0.2500 0.0843 0.6652
Ir: 0.2500 0.4157 0.6652
Ir: 0.2500 0.7500 0.0019
Ir: 0.7500 0.2500 0.9981
Ir: 0.7500 0.5843 0.3348
Ir: 0.7500 0.9157 0.3348

Main lines, by intensity (5° ≤ 2θ ≤ 70°):
d/Å, Position (°2θ), Rel. int., index
1.971, 46.06, 1000, 0 3 2
2.105, 42.98, 910, 2 2 1
3.255, 27.40, 764, 1 3 0
2.094, 43.21, 604, 0 6 0
1.820, 50.11, 594, 2 4 1
2.199, 41.04, 357, 2 1 1
3.376, 26.40, 178, 1 0 1
3.637, 24.47, 168, 0 2 1
3.053, 29.25, 142, 0 3 1
2.582, 34.74, 140, 2 0 0



Starting from DFT lattice parameters and positions (GGA-PBE), the powder XRD pattern of CaAc2Nd3 was simulated for Cu Kα.
Neutral-atom scattering factors, no anomalous dispersion.

Cell and atoms:
a = 3.7743 Å, b = 10.6972 Å, c = 11.9274 Å
α = 91.90°, β = 97.01°, γ = 95.00°
Fractional coordinates of all 12 atoms:
Ca: 0.1217 0.2477 0.3561
Ca: 0.8783 0.7523 0.6439
Ac: 0.2059 0.6003 0.3826
Ac: 0.2669 0.0858 0.6500
Ac: 0.7331 0.9142 0.3500
Ac: 0.7941 0.3997 0.6174
Nd: 0.1218 0.7344 0.0994
Nd: 0.3289 0.0852 0.1031
Nd: 0.4350 0.5663 0.8632
Nd: 0.5650 0.4337 0.1368
Nd: 0.6711 0.9148 0.8969
Nd: 0.8782 0.2656 0.9006

Main lines, by intensity (5° ≤ 2θ ≤ 70°):
d/Å, Position (°2θ), Rel. int., index
2.955, 30.24, 1000, 0 0 4
3.104, 28.76, 735, 0 3 -2
2.985, 29.93, 569, 0 3 2
2.931, 30.50, 513, 1 2 0
3.250, 27.45, 347, -1 1 2
3.149, 28.35, 337, -1 2 1
1.660, 55.35, 211, 1 5 2
1.964, 46.22, 191, 1 2 4
7.744, 11.43, 183, 0 1 1
2.266, 39.77, 169, 1 -4 0



What did the second record say?
Starting from DFT lattice parameters and positions (GGA-PBE), the powder XRD pattern of CaAc2Nd3 was simulated for Cu Kα.
Neutral-atom scattering factors, no anomalous dispersion.

Cell and atoms:
a = 3.7743 Å, b = 10.6972 Å, c = 11.9274 Å
α = 91.90°, β = 97.01°, γ = 95.00°
Fractional coordinates of all 12 atoms:
Ca: 0.1217 0.2477 0.3561
Ca: 0.8783 0.7523 0.6439
Ac: 0.2059 0.6003 0.3826
Ac: 0.2669 0.0858 0.6500
Ac: 0.7331 0.9142 0.3500
Ac: 0.7941 0.3997 0.6174
Nd: 0.1218 0.7344 0.0994
Nd: 0.3289 0.0852 0.1031
Nd: 0.4350 0.5663 0.8632
Nd: 0.5650 0.4337 0.1368
Nd: 0.6711 0.9148 0.8969
Nd: 0.8782 0.2656 0.9006

Main lines, by intensity (5° ≤ 2θ ≤ 70°):
d/Å, Position (°2θ), Rel. int., index
2.955, 30.24, 1000, 0 0 4
3.104, 28.76, 735, 0 3 -2
2.985, 29.93, 569, 0 3 2
2.931, 30.50, 513, 1 2 0
3.250, 27.45, 347, -1 1 2
3.149, 28.35, 337, -1 2 1
1.660, 55.35, 211, 1 5 2
1.964, 46.22, 191, 1 2 4
7.744, 11.43, 183, 0 1 1
2.266, 39.77, 169, 1 -4 0